Structure and computed powder diffraction line list of NaEuV4O12 (a cell relaxed with PBE+U; Cu Kα (λ = 1.5418 Å)).

```
data_NaEuV4O12
_cell_length_a 7.2520
_cell_length_b 7.0010
_cell_length_c 10.0376
_cell_angle_alpha 90.00
_cell_angle_beta 90.00
_cell_angle_gamma 90.00
_space_group_name_H-M_alt 'A m m 2'
_space_group_IT_number 38
_space_group_name_Hall 'A 2 -2'
loop_
_atom_site_label
_atom_site_type_symbol
_atom_site_fract_x
_atom_site_fract_y
_atom_site_fract_z
Na1 Na 0.0000 0.0000 0.0000
Eu1 Eu 0.5000 0.0000 0.5379
V1 V 0.2514 0.2429 0.2596
O1 O 0.0000 0.2211 0.7566
O2 O 0.2159 0.0000 0.1915
O3 O 0.2670 0.0000 0.7006
O4 O 0.2868 0.2283 0.4232
O5 O 0.5000 0.2323 0.1952
```

Principal peaks in the range 2θ = 10–80°, sorted by position:
2θ/deg  d (Å)  I_rel
12.2  7.252  44
15.4  5.742  45
19.7  4.502  100
21.5  4.127  28
30.4  2.939  61
31.2  2.871  68
32.1  2.787  26
35.7  2.518  33